For CrMo2C, a crystal structure in Alexandria, relaxed with PBE gives the computed powder XRD pattern in this record (a wavelength of 1.5418 Å).

Crystal structure
```
12
Lattice="3.002 0.000 0.000 -1.501 2.600 0.000 0.000 0.000 20.138" Properties=species:S:1:pos:R:3 pbc="T T T"
Cr 0.000 0.000 0.000
Cr 0.000 1.733 13.425
Cr 1.501 0.867 6.713
Mo 0.000 0.000 4.566
Mo 0.000 0.000 15.572
Mo 0.000 1.733 8.860
Mo 0.000 1.733 17.991
Mo 1.501 0.867 2.147
Mo 1.501 0.867 11.279
C 0.000 0.000 10.069
C 0.000 1.733 3.356
C 1.501 0.867 16.782
```

Most intense lines, 10 to 90 degrees two-theta, by angle:
| 2theta | d_spacing | I/Imax |
| --- | --- | --- |
| 13.2 | 6.713 | 16 |
| 34.8 | 2.578 | 14 |
| 35.7 | 2.517 | 38 |
| 39.0 | 2.310 | 100 |
| 40.3 | 2.238 | 32 |
| 41.3 | 2.184 | 50 |
| 47.1 | 1.929 | 17 |
| 50.5 | 1.808 | 17 |
| 61.8 | 1.501 | 31 |
| 70.8 | 1.331 | 16 |
| 75.5 | 1.259 | 19 |
| 76.4 | 1.247 | 28 |

---

For HoErMg14, a crystal structure in Alexandria, relaxed with PBE gives the computed powder XRD pattern in this record (a wavelength of 1.5418 Å).

Crystal structure
```
16
Lattice="6.917 0.000 0.000 0.000 6.917 0.000 0.000 0.000 7.969" Properties=species:S:1:pos:R:3 pbc="T T T"
Ho 0.000 0.000 0.000
Er 3.459 3.459 0.000
Mg 0.000 0.000 3.985
Mg 0.000 3.459 0.000
Mg 0.000 3.459 3.985
Mg 1.731 1.731 2.075
Mg 1.731 1.731 5.894
Mg 1.731 5.186 2.075
Mg 1.731 5.186 5.894
Mg 3.459 0.000 0.000
Mg 3.459 0.000 3.985
Mg 3.459 3.459 3.985
Mg 5.186 1.731 2.075
Mg 5.186 1.731 5.894
Mg 5.186 5.186 2.075
Mg 5.186 5.186 5.894
```

Most intense lines, 10 to 90 degrees two-theta, by angle:
| 2theta | d_spacing | I/Imax |
| --- | --- | --- |
| 11.1 | 7.969 | 50 |
| 18.1 | 4.891 | 38 |
| 21.3 | 4.169 | 53 |
| 28.1 | 3.173 | 30 |
| 28.9 | 3.089 | 25 |
| 34.3 | 2.612 | 100 |
| 36.7 | 2.446 | 42 |
| 38.5 | 2.336 | 22 |
| 42.9 | 2.109 | 24 |
| 53.0 | 1.729 | 19 |
| 59.9 | 1.545 | 23 |
| 64.6 | 1.442 | 31 |

---

For K2MgVCl6, a crystal structure in Alexandria, relaxed with PBE gives the computed powder XRD pattern in this record (a wavelength of 1.5418 Å).

Crystal structure
```
20
Lattice="6.976 0.000 0.000 0.000 7.046 0.000 -6.967 0.000 9.950" Properties=species:S:1:pos:R:3 pbc="T T T"
K -0.070 0.304 2.486
K -3.553 3.219 7.461
K 3.562 3.827 2.489
K 0.078 6.742 7.464
Mg 3.488 0.000 0.000
Mg 0.004 3.523 4.975
V -3.484 0.000 4.975
V 0.000 3.523 0.000
Cl -5.507 1.499 9.650
Cl -2.023 2.024 4.675
Cl -4.961 5.005 9.650
Cl -1.477 5.564 4.675
Cl -3.066 0.036 7.449
Cl 0.418 3.487 2.474
Cl -0.409 3.559 7.476
Cl 3.074 7.010 2.501
Cl 1.486 1.482 5.275
Cl 4.969 2.041 0.300
Cl 2.032 5.022 5.275
Cl 5.515 5.547 0.300
```

Most intense lines, 10 to 90 degrees two-theta, by angle:
| 2theta | d_spacing | I/Imax |
| --- | --- | --- |
| 17.9 | 4.963 | 34 |
| 25.3 | 3.514 | 47 |
| 29.8 | 2.997 | 29 |
| 30.0 | 2.982 | 16 |
| 31.1 | 2.875 | 56 |
| 31.3 | 2.856 | 50 |
| 36.1 | 2.487 | 59 |
| 36.2 | 2.479 | 100 |
| 40.5 | 2.225 | 14 |
| 44.6 | 2.032 | 17 |
| 44.9 | 2.018 | 22 |
| 52.1 | 1.756 | 50 |

---

For Cs3Na3MnBr8, a crystal structure in Alexandria, relaxed with PBE gives the computed powder XRD pattern in this record (a wavelength of 1.5418 Å).

Crystal structure
```
15
Lattice="4.461 2.575 8.246 -4.461 2.575 8.246 0.000 -5.151 8.246" Properties=species:S:1:pos:R:3 pbc="T T T"
Cs -2.230 -1.288 8.246
Cs -2.230 1.288 16.491
Cs 0.000 2.575 8.246
Na -4.461 0.000 12.368
Na -2.230 1.288 4.123
Na 2.230 1.288 4.123
Mn 0.000 0.000 12.368
Br 0.000 0.000 5.740
Br -2.002 -1.156 13.875
Br 0.000 -2.311 10.862
Br -2.002 1.156 10.862
Br 2.002 -1.156 13.875
Br 0.000 2.311 13.875
Br 2.002 1.156 10.862
Br 0.000 0.000 18.996
```

Most intense lines, 10 to 90 degrees two-theta, by angle:
| 2theta | d_spacing | I/Imax |
| --- | --- | --- |
| 12.0 | 7.375 | 33 |
| 23.3 | 3.817 | 15 |
| 27.2 | 3.276 | 100 |
| 29.3 | 3.045 | 31 |
| 32.6 | 2.749 | 14 |
| 37.2 | 2.414 | 25 |
| 40.4 | 2.230 | 37 |
| 49.4 | 1.844 | 16 |
| 52.9 | 1.732 | 18 |
| 53.7 | 1.707 | 10 |
| 56.1 | 1.638 | 7 |
| 65.7 | 1.421 | 13 |